(1)
Theoretical powder diffraction line list
Compound: SmEu2SbO6
Radiation: Cu Kα
Structure: a crystal structure in the Materials Project, relaxed with GGA-PBE
Kinematic intensities with the Lorentz-polarization factor, no thermal factor.

Principal peaks in the range 2θ from 10° to 90°, in order of falling intensity:
2θ/deg, Rel. int.
29.7, 100.0
52.8, 40.6
42.5, 28.5
85.5, 21.6
70.0, 18.0
61.7, 17.9
77.9, 5.9
36.6, 2.3
74.0, 0.5

Cell lengths 6.009, 6.009, 6.009 Å; angles 60.00, 60.00, 60.00 degrees
Fractional coordinates of all 10 atoms:
Sm 0.000 0.000 0.000
Eu 0.250 0.250 0.250
Eu 0.750 0.750 0.750
Sb 0.500 0.500 0.500
O 0.266 0.266 0.734
O 0.266 0.734 0.266
O 0.266 0.734 0.734
O 0.734 0.266 0.266
O 0.734 0.266 0.734
O 0.734 0.734 0.266

---

(2)
Theoretical powder diffraction line list
Compound: SmEu2SbO6
Radiation: Cu Kα
Structure: a crystal structure in the Materials Project, relaxed with GGA-PBE
Kinematic intensities with the Lorentz-polarization factor, no thermal factor.

Principal peaks in the range 2θ from 10° to 90°, in order of falling intensity:
2θ/deg, Rel. int.
29.9, 100.0
53.1, 43.7
42.8, 26.0
86.2, 22.5
70.5, 18.1
62.2, 15.6
78.5, 5.1
36.9, 1.6

Cell lengths 8.444, 8.444, 8.444 Å; angles 90.00, 90.00, 90.00 degrees
Fractional coordinates of all 40 atoms:
Sm 0.000 0.000 0.000
Sm 0.000 0.500 0.500
Sm 0.500 0.000 0.500
Sm 0.500 0.500 0.000
Eu 0.250 0.250 0.250
Eu 0.250 0.250 0.750
Eu 0.250 0.750 0.250
Eu 0.250 0.750 0.750
Eu 0.750 0.250 0.250
Eu 0.750 0.250 0.750
Eu 0.750 0.750 0.250
Eu 0.750 0.750 0.750
Sb 0.000 0.000 0.500
Sb 0.000 0.500 0.000
Sb 0.500 0.000 0.000
Sb 0.500 0.500 0.500
O 0.035 0.543 0.768
O 0.035 0.957 0.732
O 0.043 0.232 0.535
O 0.043 0.268 0.965
O 0.232 0.535 0.043
O 0.232 0.965 0.457
O 0.268 0.535 0.457
O 0.268 0.965 0.043
O 0.457 0.232 0.965
O 0.457 0.268 0.535
O 0.465 0.543 0.732
O 0.465 0.957 0.768
O 0.535 0.043 0.232
O 0.535 0.457 0.268
O 0.543 0.732 0.465
O 0.543 0.768 0.035
O 0.732 0.035 0.957
O 0.732 0.465 0.543
O 0.768 0.035 0.543
O 0.768 0.465 0.957
O 0.957 0.732 0.035
O 0.957 0.768 0.465
O 0.965 0.043 0.268
O 0.965 0.457 0.232

---

(3)
Theoretical powder diffraction line list
Compound: SrTbEuSbO6
Radiation: Cu Kα
Structure: a crystal structure in the Materials Project, relaxed with GGA-PBE
Kinematic intensities with the Lorentz-polarization factor, no thermal factor.

Principal peaks in the range 2θ from 10° to 90°, in order of falling intensity:
2θ/deg, Rel. int.
30.0, 100.0
53.3, 40.4
43.0, 29.7
86.5, 21.6
62.4, 18.5
70.8, 17.9
78.8, 6.1
18.3, 4.3
35.4, 3.1
21.1, 2.9
47.1, 1.6
56.8, 1.0

Cell lengths 5.952, 5.952, 5.952 Å; angles 60.00, 60.00, 60.00 degrees
Fractional coordinates of all 10 atoms:
Sr 0.000 0.000 0.000
Tb 0.750 0.750 0.750
Eu 0.500 0.500 0.500
Sb 0.250 0.250 0.250
O 0.013 0.013 0.487
O 0.013 0.487 0.013
O 0.013 0.487 0.487
O 0.487 0.013 0.013
O 0.487 0.013 0.487
O 0.487 0.487 0.013

---

(4)
Theoretical powder diffraction line list
Compound: SrEuYSbO6
Radiation: Cu Kα
Structure: a crystal structure in the Materials Project, relaxed with GGA-PBE
Kinematic intensities with the Lorentz-polarization factor, no thermal factor.

Principal peaks in the range 2θ from 10° to 90°, in order of falling intensity:
2θ/deg, Rel. int.
30.1, 100.0
53.5, 39.9
43.1, 31.4
86.9, 21.3
62.6, 19.2
71.1, 17.6
18.3, 6.8
79.1, 6.3
35.5, 3.6
37.1, 3.5
47.2, 1.5
57.0, 1.5

Cell lengths 5.932, 5.932, 5.932 Å; angles 60.00, 60.00, 60.00 degrees
Fractional coordinates of all 10 atoms:
Sr 0.000 0.000 0.000
Eu 0.500 0.500 0.500
Y 0.250 0.250 0.250
Sb 0.750 0.750 0.750
O 0.513 0.513 0.987
O 0.513 0.987 0.513
O 0.513 0.987 0.987
O 0.987 0.513 0.513
O 0.987 0.513 0.987
O 0.987 0.987 0.513

---

(5)
Theoretical powder diffraction line list
Compound: SrEuZrSbO6
Radiation: Cu Kα
Structure: a crystal structure in the Materials Project, relaxed with GGA-PBE
Kinematic intensities with the Lorentz-polarization factor, no thermal factor.

Principal peaks in the range 2θ from 10° to 90°, in order of falling intensity:
2θ/deg, Rel. int.
30.0, 100.0
53.3, 40.3
42.9, 31.7
86.4, 21.2
62.4, 19.5
70.7, 17.5
78.7, 6.4
18.2, 5.7
35.3, 3.6
37.0, 3.4
47.0, 1.7
56.8, 1.2

Cell lengths 5.957, 5.957, 5.957 Å; angles 60.00, 60.00, 60.00 degrees
Fractional coordinates of all 10 atoms:
Sr 0.000 0.000 0.000
Eu 0.500 0.500 0.500
Zr 0.250 0.250 0.250
Sb 0.750 0.750 0.750
O 0.001 0.001 0.499
O 0.001 0.499 0.001
O 0.001 0.499 0.499
O 0.499 0.001 0.001
O 0.499 0.001 0.499
O 0.499 0.499 0.001

---

(6)
Theoretical powder diffraction line list
Compound: Eu2TiSbO6
Radiation: Cu Kα
Structure: a crystal structure in the Materials Project, relaxed with GGA-PBE
Kinematic intensities with the Lorentz-polarization factor, no thermal factor.

Principal peaks in the range 2θ from 10° to 90°, in order of falling intensity:
2θ/deg, Rel. int.
31.1, 100.0
55.3, 39.3
44.6, 30.4
64.9, 18.5
73.7, 17.1
38.3, 10.8
82.1, 6.2
21.9, 5.7
18.9, 5.3
36.7, 3.7
77.9, 3.4
50.2, 3.4

Cell lengths 5.750, 5.750, 5.750 Å; angles 60.00, 60.00, 60.00 degrees
Fractional coordinates of all 10 atoms:
Eu 0.250 0.250 0.250
Eu 0.750 0.750 0.750
Ti 0.000 0.000 0.000
Sb 0.500 0.500 0.500
O 0.243 0.243 0.757
O 0.243 0.757 0.243
O 0.243 0.757 0.757
O 0.757 0.243 0.243
O 0.757 0.243 0.757
O 0.757 0.757 0.243

---

(7)
Theoretical powder diffraction line list
Compound: SrEuScO4
Radiation: Cu Kα
Structure: a crystal structure in the Materials Project, relaxed with GGA-PBE
Kinematic intensities with the Lorentz-polarization factor, no thermal factor.

Principal peaks in the range 2θ from 10° to 90°, in order of falling intensity:
2θ/deg, Rel. int.
30.8, 100.0
31.1, 77.5
44.5, 41.8
23.0, 41.1
55.1, 39.4
42.8, 38.3
42.6, 16.0
54.5, 14.3
28.7, 13.8
14.2, 13.5
64.1, 13.0
56.4, 12.7

Cell lengths 4.071, 4.071, 12.453 Å; angles 90.00, 90.00, 90.00 degrees
Fractional coordinates of all 14 atoms:
Sr 0.000 0.000 0.000
Sr 0.500 0.500 0.500
Eu 0.000 0.000 0.283
Eu 0.500 0.500 0.783
Sc 0.000 0.000 0.641
Sc 0.500 0.500 0.141
O 0.000 0.000 0.465
O 0.000 0.000 0.811
O 0.000 0.500 0.150
O 0.000 0.500 0.650
O 0.500 0.000 0.150
O 0.500 0.000 0.650
O 0.500 0.500 0.311
O 0.500 0.500 0.965

---

(8)
Theoretical powder diffraction line list
Compound: EuSeO4
Radiation: Cu Kα
Structure: a crystal structure in the Materials Project, relaxed with GGA-PBE
Kinematic intensities with the Lorentz-polarization factor, no thermal factor.

Principal peaks in the range 2θ from 10° to 90°, in order of falling intensity:
2θ/deg, Rel. int.
27.4, 100.0
29.2, 68.9
25.7, 55.5
49.5, 33.1
43.5, 30.8
45.8, 28.3
29.3, 25.2
32.4, 22.2
48.9, 20.6
34.7, 18.9
28.4, 17.3
46.4, 14.1

Cell lengths 6.922, 7.366, 8.688 Å; angles 90.00, 126.99, 90.00 degrees
Fractional coordinates of all 24 atoms:
Eu 0.184 0.152 0.281
Eu 0.184 0.348 0.781
Eu 0.816 0.652 0.219
Eu 0.816 0.848 0.719
Se 0.314 0.663 0.197
Se 0.314 0.837 0.697
Se 0.686 0.163 0.303
Se 0.686 0.337 0.803
O 0.120 0.656 0.612
O 0.120 0.844 0.112
O 0.180 0.000 0.743
O 0.180 0.500 0.243
O 0.343 0.607 0.022
O 0.343 0.893 0.522
O 0.398 0.209 0.115
O 0.398 0.291 0.615
O 0.602 0.709 0.385
O 0.602 0.791 0.885
O 0.657 0.107 0.478
O 0.657 0.393 0.978
O 0.820 0.000 0.257
O 0.820 0.500 0.757
O 0.880 0.156 0.888
O 0.880 0.344 0.388

---

(9)
Theoretical powder diffraction line list
Compound: EuSeO4
Radiation: Cu Kα
Structure: a crystal structure in the Materials Project, relaxed with GGA-PBE
Kinematic intensities with the Lorentz-polarization factor, no thermal factor.

Principal peaks in the range 2θ from 10° to 90°, in order of falling intensity:
2θ/deg, Rel. int.
28.7, 100.0
33.4, 41.1
17.9, 32.1
21.1, 30.8
19.7, 28.2
30.3, 28.2
56.2, 25.1
43.0, 24.3
22.6, 19.7
52.8, 17.0
46.2, 16.1
57.5, 15.7

Cell lengths 5.396, 5.396, 7.996 Å; angles 90.00, 90.00, 113.63 degrees
Fractional coordinates of all 12 atoms:
Eu 0.000 0.000 0.000
Eu 0.000 0.000 0.500
Se 0.363 0.637 0.750
Se 0.637 0.363 0.250
O 0.230 0.289 0.750
O 0.263 0.737 0.573
O 0.263 0.737 0.927
O 0.289 0.230 0.250
O 0.711 0.770 0.750
O 0.737 0.263 0.073
O 0.737 0.263 0.427
O 0.770 0.711 0.250

---

Copy entry 1 word for word.
Theoretical powder diffraction line list
Compound: SmEu2SbO6
Radiation: Cu Kα
Structure: a crystal structure in the Materials Project, relaxed with GGA-PBE
Kinematic intensities with the Lorentz-polarization factor, no thermal factor.

Principal peaks in the range 2θ from 10° to 90°, in order of falling intensity:
2θ/deg, Rel. int.
29.7, 100.0
52.8, 40.6
42.5, 28.5
85.5, 21.6
70.0, 18.0
61.7, 17.9
77.9, 5.9
36.6, 2.3
74.0, 0.5

Cell lengths 6.009, 6.009, 6.009 Å; angles 60.00, 60.00, 60.00 degrees
Fractional coordinates of all 10 atoms:
Sm 0.000 0.000 0.000
Eu 0.250 0.250 0.250
Eu 0.750 0.750 0.750
Sb 0.500 0.500 0.500
O 0.266 0.266 0.734
O 0.266 0.734 0.266
O 0.266 0.734 0.734
O 0.734 0.266 0.266
O 0.734 0.266 0.734
O 0.734 0.734 0.266